Theoretical X-ray powder pattern of Pm2Tl4Se5 for Cu Kα, 1.54184 Å, from a structure optimized by DFT (GGA-PBE).

Cell and atoms:
abc: 4.2907 4.2907 71.5660
angles: 90.00 90.00 120.00
Space group R-3m (No. 166, hexagonal axes)
One atom of each set of equivalent atoms:
Pm 0.0000 0.0000 0.1411
Tl 0.0000 0.0000 0.3133
Tl 0.0000 0.0000 0.4135
Se 0.0000 0.0000 0.2129
Se 0.0000 0.0000 0.3751
Se 0.0000 0.0000 0.5000

The 6 most intense peaks (2θ = 10–80°), in order of rising 2θ:
hkl 1 0 1, 2θ 24.0, d = 3.708 Å, intensity 31.4
hkl 1 0 4, 2θ 24.5, d = 3.638 Å, intensity 27.4
hkl 0 1 11, 2θ 27.6, d = 3.227 Å, intensity 100.0
hkl 1 0 22, 2θ 36.7, d = 2.448 Å, intensity 31.5
hkl 1 1 0, 2θ 42.1, d = 2.145 Å, intensity 60.7
hkl 0 1 29, 2θ 44.0, d = 2.056 Å, intensity 28.9

Theoretical X-ray powder pattern of Sr5Si4 for Cu Kα, 1.54184 Å, from a structure optimized by DFT (GGA-PBE).

Cell and atoms:
abc: 11.389 4.837 10.421
angles: 90.00 111.60 90.00
Space group C2/m (No. 12)
One atom of each set of equivalent atoms:
Sr 0.000 0.000 0.000
Sr 0.106 0.000 0.398
Sr 0.241 0.000 0.821
Si 0.046 0.500 0.818
Si 0.097 0.500 0.607

The 6 most intense peaks (2θ = 10–80°), in order of rising 2θ:
hkl 2 0 -3, 2θ 26.5, d = 3.362 Å, intensity 46.9
hkl 2 0 2, 2θ 29.2, d = 3.057 Å, intensity 31.4
hkl 1 1 2, 2θ 29.4, d = 3.034 Å, intensity 93.4
hkl 3 1 -1, 2θ 29.9, d = 2.986 Å, intensity 100.0
hkl 1 1 -3, 2θ 31.8, d = 2.817 Å, intensity 48.2
hkl 0 2 0, 2θ 37.2, d = 2.419 Å, intensity 49.2

Theoretical X-ray powder pattern of La2AlRh4 for Cu Kα, 1.54184 Å, from a structure optimized by DFT (GGA-PBE).

Cell and atoms:
abc: 4.611 4.611 13.887
angles: 90.00 90.00 90.00
Space group I4/mmm (No. 139)
One atom of each set of equivalent atoms:
La 0.000 0.000 0.150
Al 0.000 0.000 0.500
Rh 0.000 0.000 0.331
Rh 0.000 0.500 0.000

The 6 most intense peaks (2θ = 10–80°), in order of rising 2θ:
hkl 1 1 0, 2θ 27.3, d = 3.261 Å, intensity 44.6
hkl 1 1 2, 2θ 30.3, d = 2.952 Å, intensity 97.8
hkl 1 1 4, 2θ 37.8, d = 2.377 Å, intensity 100.0
hkl 0 0 6, 2θ 38.9, d = 2.315 Å, intensity 38.3
hkl 2 0 0, 2θ 39.1, d = 2.306 Å, intensity 88.2
hkl 2 0 6, 2θ 56.3, d = 1.633 Å, intensity 51.4

Theoretical X-ray powder pattern of LaAlMo2Ru for Cu Kα, 1.54184 Å, from a structure optimized by DFT (GGA-PBE).

Cell and atoms:
abc: 4.847 4.847 4.720
angles: 90.00 90.00 90.00
Space group P4/mmm (No. 123)
One atom of each set of equivalent atoms:
La 0.000 0.000 0.000
Al 0.500 0.500 0.500
Mo 0.000 0.500 0.000
Ru 0.000 0.000 0.500

The 6 most intense peaks (2θ = 10–80°), in order of rising 2θ:
hkl 1 0 0, 2θ 18.3, d = 4.847 Å, intensity 100.0
hkl 0 0 1, 2θ 18.8, d = 4.720 Å, intensity 42.3
hkl 1 1 1, 2θ 32.3, d = 2.773 Å, intensity 39.5
hkl 2 0 0, 2θ 37.1, d = 2.423 Å, intensity 79.6
hkl 0 0 2, 2θ 38.1, d = 2.360 Å, intensity 36.8
hkl 2 0 2, 2θ 54.3, d = 1.691 Å, intensity 51.8

Theoretical X-ray powder pattern of LiScTaRe2 for Cu Kα, 1.54184 Å, from a structure optimized by DFT (GGA-PBE).

Cell and atoms:
abc: 4.538 4.538 3.752
angles: 90.00 90.00 90.00
Space group P4/mmm (No. 123)
One atom of each set of equivalent atoms:
Li 0.000 0.000 0.000
Sc 0.000 0.000 0.500
Ta 0.500 0.500 0.500
Re 0.000 0.500 0.000

The 6 most intense peaks (2θ = 10–80°), in order of rising 2θ:
hkl 1 1 1, 2θ 36.9, d = 2.439 Å, intensity 100.0
hkl 2 0 0, 2θ 39.7, d = 2.269 Å, intensity 42.1
hkl 0 0 2, 2θ 48.5, d = 1.876 Å, intensity 11.9
hkl 2 2 0, 2θ 57.4, d = 1.604 Å, intensity 14.4
hkl 2 0 2, 2θ 64.4, d = 1.446 Å, intensity 20.4
hkl 3 1 1, 2θ 70.2, d = 1.340 Å, intensity 30.5

Theoretical X-ray powder pattern of Ac2Al7Ga for Cu Kα, 1.54184 Å, from a structure optimized by DFT (GGA-PBE).

Cell and atoms:
abc: 4.491 4.491 11.117
angles: 90.00 90.00 90.00
Space group P-4m2 (No. 115)
One atom of each set of equivalent atoms:
Ac 0.000 0.500 0.248
Al 0.000 0.000 0.000
Al 0.000 0.000 0.500
Al 0.000 0.500 0.634
Al 0.000 0.500 0.870
Al 0.500 0.500 0.500
Ga 0.500 0.500 0.000

The 6 most intense peaks (2θ = 10–80°), in order of rising 2θ:
hkl 1 0 1, 2θ 21.3, d = 4.164 Å, intensity 98.7
hkl 1 0 3, 2θ 31.3, d = 2.858 Å, intensity 77.8
hkl 1 1 2, 2θ 32.5, d = 2.757 Å, intensity 100.0
hkl 2 0 0, 2θ 40.2, d = 2.245 Å, intensity 38.0
hkl 1 0 5, 2θ 45.5, d = 1.993 Å, intensity 30.8
hkl 2 1 3, 2θ 51.8, d = 1.766 Å, intensity 38.7